Starting from DFT lattice parameters and positions (PBE), the powder XRD pattern of Pm3Te3I was simulated for Cu Kα X-rays.
Lines closer than 0.1° are merged.

```
data_Pm3Te3I
_chemical_formula_sum 'Pm12 Te12 I4'
_space_group_name_H-M_alt 'C m c m'
_space_group_IT_number 63
_space_group_name_Hall '-C 2c 2'
_cell_length_a 10.2521
_cell_length_b 17.7559
_cell_length_c 6.1885
_cell_angle_alpha 90.00
_cell_angle_beta 90.00
_cell_angle_gamma 90.00
loop_
_atom_site_label
_atom_site_type_symbol
_atom_site_fract_x
_atom_site_fract_y
_atom_site_fract_z
Pm1 Pm 0.0000 0.1484 0.2500
Pm2 Pm 0.2232 0.0741 0.7500
Te1 Te 0.0000 0.1888 0.7500
Te2 Te 0.2163 0.4058 0.7500
I1 I 0.0000 0.3332 0.2500
```

Top 10 peaks for 5° ≤ 2θ ≤ 70°, low angle first:
20.00 deg, I = 100, hkl 2 2 0
28.85 deg, I = 60, hkl 0 0 2
30.27 deg, I = 22, hkl 2 4 1
30.30 deg, I = 32, hkl 2 4 1
33.57 deg, I = 40, hkl 0 6 1
35.01 deg, I = 76, hkl 4 0 0
35.36 deg, I = 47, hkl 2 2 2
45.98 deg, I = 71, hkl 4 0 2
49.29 deg, I = 20, hkl 4 6 1
67.61 deg, I = 27, hkl 2 12 1

=====

Starting from DFT lattice parameters and positions (PBE), the powder XRD pattern of Cs3YbS3O12 was simulated for Cu Kα X-rays.
Lines closer than 0.1° are merged.

```
data_Cs3YbS3O12
_chemical_formula_sum 'Cs18 Yb6 S18 O72'
_space_group_name_H-M_alt 'R 3 c'
_space_group_IT_number 161
_space_group_name_Hall 'R 3 -2"c'
_cell_length_a 16.4058
_cell_length_b 16.4058
_cell_length_c 9.8385
_cell_angle_alpha 90.00
_cell_angle_beta 90.00
_cell_angle_gamma 120.00
loop_
_atom_site_label
_atom_site_type_symbol
_atom_site_fract_x
_atom_site_fract_y
_atom_site_fract_z
Cs1 Cs 0.0307 0.4499 0.0000
Yb1 Yb 0.0000 0.0000 0.2050
S1 S 0.1759 0.0307 0.9531
O1 O 0.0112 0.2486 0.9542
O2 O 0.0145 0.1200 0.8396
O3 O 0.1219 0.0069 0.0848
O4 O 0.1998 0.4364 0.1007
```

Top 10 peaks for 5° ≤ 2θ ≤ 70°, low angle first:
18.77 deg, I = 24, hkl 3 0 0
21.67 deg, I = 25, hkl 2 2 0
24.33 deg, I = 100, hkl 1 3 1
24.54 deg, I = 94, hkl 1 2 2
28.82 deg, I = 28, hkl 4 1 0
29.03 deg, I = 56, hkl 3 1 2
29.33 deg, I = 25, hkl 1 1 3
39.62 deg, I = 36, hkl 5 2 0
39.79 deg, I = 21, hkl 1 5 2
40.02 deg, I = 23, hkl 1 4 3

=====

Starting from DFT lattice parameters and positions (PBE), the powder XRD pattern of KSr3Rh was simulated for Cu Kα X-rays.
Lines closer than 0.1° are merged.

```
data_KSr3Rh
_chemical_formula_sum 'K2 Sr6 Rh2'
_space_group_name_H-M_alt 'A m m 2'
_space_group_IT_number 38
_cell_length_a 4.2200
_cell_length_b 8.1357
_cell_length_c 22.1488
_cell_angle_alpha 90.00
_cell_angle_beta 90.00
_cell_angle_gamma 90.00
loop_
_space_group_symop_operation_xyz
'x,y,z'
'-x,-y,z'
'-x,y,z'
'x,-y,z'
'x,y+1/2,z+1/2'
'-x,-y+1/2,z+1/2'
'-x,y+1/2,z+1/2'
'x,-y+1/2,z+1/2'
loop_
_atom_site_label
_atom_site_type_symbol
_atom_site_fract_x
_atom_site_fract_y
_atom_site_fract_z
K1 K 0.0000 0.0000 0.0000
Sr1 Sr 0.0000 0.2388 0.6747
Sr2 Sr 0.5000 0.0000 0.8184
Rh1 Rh 0.5000 0.0000 0.6967
```

Top 10 peaks for 5° ≤ 2θ ≤ 70°, low angle first:
7.98 deg, I = 100, hkl 0 0 2
11.59 deg, I = 57, hkl 0 1 1
16.01 deg, I = 12, hkl 0 0 4
22.55 deg, I = 9, hkl 1 0 2
24.10 deg, I = 33, hkl 0 0 6
30.52 deg, I = 16, hkl 1 2 0
31.60 deg, I = 28, hkl 1 2 2
34.65 deg, I = 9, hkl 1 2 4
39.29 deg, I = 13, hkl 1 2 6
45.06 deg, I = 13, hkl 1 2 8

=====

Starting from DFT lattice parameters and positions (PBE), the powder XRD pattern of Pm3Dy3Y4 was simulated for Cu Kα X-rays.
Lines closer than 0.1° are merged.

```
data_Pm3Dy3Y4
_chemical_formula_sum 'Pm6 Dy6 Y8'
_space_group_name_H-M_alt 'A m m 2'
_space_group_IT_number 38
_cell_length_a 3.6958
_cell_length_b 13.3844
_cell_length_c 13.4346
_cell_angle_alpha 90.00
_cell_angle_beta 90.00
_cell_angle_gamma 90.00
loop_
_space_group_symop_operation_xyz
'x,y,z'
'-x,-y,z'
'-x,y,z'
'x,-y,z'
'x,y+1/2,z+1/2'
'-x,-y+1/2,z+1/2'
'-x,y+1/2,z+1/2'
'x,-y+1/2,z+1/2'
loop_
_atom_site_label
_atom_site_type_symbol
_atom_site_fract_x
_atom_site_fract_y
_atom_site_fract_z
Pm1 Pm 0.0000 0.0000 0.0000
Pm2 Pm 0.0000 0.1739 0.6727
Dy1 Dy 0.0000 0.0000 0.3471
Dy2 Dy 0.5000 0.2472 0.4220
Y1 Y 0.5000 0.0000 0.5469
Y2 Y 0.5000 0.0000 0.7987
Y3 Y 0.5000 0.1249 0.1750
```

Top 10 peaks for 5° ≤ 2θ ≤ 70°, low angle first:
26.54 deg, I = 11, hkl 0 0 4
26.64 deg, I = 12, hkl 0 4 0
29.80 deg, I = 76, hkl 0 4 2
30.67 deg, I = 51, hkl 1 2 2
32.13 deg, I = 100, hkl 1 1 3
39.17 deg, I = 15, hkl 0 5 3
46.51 deg, I = 19, hkl 1 5 3
49.31 deg, I = 13, hkl 2 0 0
55.30 deg, I = 21, hkl 1 4 6
58.69 deg, I = 22, hkl 2 4 2

=====

Starting from DFT lattice parameters and positions (PBE), the powder XRD pattern of Sm8CSe6 was simulated for Cu Kα X-rays.
Lines closer than 0.1° are merged.

```
data_Sm8CSe6
_chemical_formula_sum 'Sm8 C1 Se6'
_space_group_name_H-M_alt 'P -3 1 m'
_space_group_IT_number 162
_space_group_name_Hall '-P 3 2'
_cell_length_a 8.6119
_cell_length_b 8.6119
_cell_length_c 5.9543
_cell_angle_alpha 90.00
_cell_angle_beta 90.00
_cell_angle_gamma 120.00
loop_
_atom_site_label
_atom_site_type_symbol
_atom_site_fract_x
_atom_site_fract_y
_atom_site_fract_z
Sm1 Sm 0.0000 0.2441 0.2444
Sm2 Sm 0.3333 0.6667 0.0000
C1 C 0.0000 0.0000 0.0000
Se1 Se 0.0000 0.3908 0.7538
```

Top 10 peaks for 5° ≤ 2θ ≤ 70°, low angle first:
25.53 deg, I = 23, hkl 2 -1 1
30.01 deg, I = 21, hkl 0 0 2
31.74 deg, I = 22, hkl 2 1 0
32.38 deg, I = 13, hkl 1 0 2
35.23 deg, I = 100, hkl 2 1 1
36.13 deg, I = 25, hkl 3 0 0
36.70 deg, I = 42, hkl 2 -1 2
55.91 deg, I = 15, hkl 5 -2 1
56.72 deg, I = 25, hkl 3 -1 3
58.40 deg, I = 14, hkl 4 0 2

=====

Starting from DFT lattice parameters and positions (PBE), the powder XRD pattern of TbBeH8Ir2 was simulated for Cu Kα X-rays.
Lines closer than 0.1° are merged.

```
data_TbBeH8Ir2
_chemical_formula_sum 'Tb2 Be2 H16 Ir4'
_space_group_name_H-M_alt 'C 1 2/m 1'
_space_group_IT_number 12
_cell_length_a 7.6406
_cell_length_b 4.1352
_cell_length_c 6.3898
_cell_angle_alpha 90.00
_cell_angle_beta 113.26
_cell_angle_gamma 90.00
loop_
_space_group_symop_operation_xyz
'x,y,z'
'-x,-y,-z'
'-x,y,-z'
'x,-y,z'
'x+1/2,y+1/2,z'
'-x+1/2,-y+1/2,-z'
'-x+1/2,y+1/2,-z'
'x+1/2,-y+1/2,z'
loop_
_atom_site_label
_atom_site_type_symbol
_atom_site_fract_x
_atom_site_fract_y
_atom_site_fract_z
Tb1 Tb 0.0000 0.0000 0.0000
Be1 Be 0.0000 0.5000 0.5000
H1 H 0.0615 0.5000 0.1860
H2 H 0.1645 0.2630 0.8104
H3 H 0.2385 0.0000 0.3873
Ir1 Ir 0.2045 0.0000 0.6365
```

Top 10 peaks for 5° ≤ 2θ ≤ 70°, low angle first:
23.85 deg, I = 23, hkl 2 0 -1
24.99 deg, I = 65, hkl 1 1 0
26.54 deg, I = 28, hkl 1 1 -1
31.06 deg, I = 49, hkl 2 0 -2
31.89 deg, I = 73, hkl 1 1 1
34.57 deg, I = 59, hkl 2 0 1
35.51 deg, I = 100, hkl 1 1 -2
41.65 deg, I = 76, hkl 3 1 -1
43.77 deg, I = 45, hkl 0 2 0
56.95 deg, I = 28, hkl 2 2 1

=====

Starting from DFT lattice parameters and positions (PBE), the powder XRD pattern of LiCaLa was simulated for Cu Kα X-rays.
Lines closer than 0.1° are merged.

```
data_LiCaLa
_chemical_formula_sum 'Li4 Ca4 La4'
_space_group_name_H-M_alt 'C 1 m 1'
_space_group_IT_number 8
_cell_length_a 12.6950
_cell_length_b 3.6736
_cell_length_c 9.1712
_cell_angle_alpha 90.00
_cell_angle_beta 112.32
_cell_angle_gamma 90.00
loop_
_space_group_symop_operation_xyz
'x,y,z'
'x,-y,z'
'x+1/2,y+1/2,z'
'x+1/2,-y+1/2,z'
loop_
_atom_site_label
_atom_site_type_symbol
_atom_site_fract_x
_atom_site_fract_y
_atom_site_fract_z
Li1 Li 0.0000 0.0000 0.0000
Li2 Li 0.1100 0.5000 0.8594
Ca1 Ca 0.3194 0.0000 0.1286
Ca2 Ca 0.4674 0.5000 0.5297
La1 La 0.1530 0.5000 0.3505
La2 La 0.2780 0.0000 0.7029
```

Top 10 peaks for 5° ≤ 2θ ≤ 70°, low angle first:
10.43 deg, I = 83, hkl 0 0 1
14.73 deg, I = 83, hkl 2 0 -1
15.09 deg, I = 62, hkl 2 0 0
26.38 deg, I = 63, hkl 1 1 -1
28.14 deg, I = 51, hkl 4 0 -1
29.39 deg, I = 44, hkl 2 0 -3
29.71 deg, I = 38, hkl 4 0 -2
30.32 deg, I = 59, hkl 2 0 2
31.20 deg, I = 100, hkl 1 1 -2
33.45 deg, I = 83, hkl 3 1 0

=====

Starting from DFT lattice parameters and positions (PBE), the powder XRD pattern of TlIn2GaSe4 was simulated for Cu Kα X-rays.
Lines closer than 0.1° are merged.

```
data_TlIn2GaSe4
_chemical_formula_sum 'Tl2 In4 Ga2 Se8'
_space_group_name_H-M_alt 'I 2 2 2'
_space_group_IT_number 23
_cell_length_a 6.7090
_cell_length_b 8.1793
_cell_length_c 8.2152
_cell_angle_alpha 90.00
_cell_angle_beta 90.00
_cell_angle_gamma 90.00
loop_
_space_group_symop_operation_xyz
'x,y,z'
'-x,-y,z'
'x,-y,-z'
'-x,y,-z'
'x+1/2,y+1/2,z+1/2'
'-x+1/2,-y+1/2,z+1/2'
'x+1/2,-y+1/2,-z+1/2'
'-x+1/2,y+1/2,-z+1/2'
loop_
_atom_site_label
_atom_site_type_symbol
_atom_site_fract_x
_atom_site_fract_y
_atom_site_fract_z
Tl1 Tl 0.0000 0.0000 0.0000
In1 In 0.0000 0.5000 0.0000
In2 In 0.0000 0.5000 0.5000
Ga1 Ga 0.0000 0.0000 0.5000
Se1 Se 0.2305 0.1669 0.6656
```

Top 10 peaks for 5° ≤ 2θ ≤ 70°, low angle first:
21.68 deg, I = 41, hkl 0 0 2
27.73 deg, I = 50, hkl 1 2 1
30.84 deg, I = 61, hkl 0 2 2
34.55 deg, I = 100, hkl 2 2 0
41.16 deg, I = 24, hkl 2 2 2
47.63 deg, I = 14, hkl 3 2 1
49.67 deg, I = 13, hkl 0 2 4
52.22 deg, I = 14, hkl 2 0 4
52.40 deg, I = 14, hkl 2 4 0
64.15 deg, I = 13, hkl 4 2 2

=====

Starting from DFT lattice parameters and positions (PBE), the powder XRD pattern of Sm2S2F was simulated for Cu Kα X-rays.
Lines closer than 0.1° are merged.

```
data_Sm2S2F
_chemical_formula_sum 'Sm4 S4 F2'
_space_group_name_H-M_alt 'I m m m'
_space_group_IT_number 71
_space_group_name_Hall '-I 2 2'
_cell_length_a 3.8107
_cell_length_b 5.5332
_cell_length_c 11.1238
_cell_angle_alpha 90.00
_cell_angle_beta 90.00
_cell_angle_gamma 90.00
loop_
_atom_site_label
_atom_site_type_symbol
_atom_site_fract_x
_atom_site_fract_y
_atom_site_fract_z
Sm1 Sm 0.0000 0.0000 0.1607
S1 S 0.0000 0.5000 0.1631
F1 F 0.0000 0.5000 0.5000
```

Top 10 peaks for 5° ≤ 2θ ≤ 70°, low angle first:
15.93 deg, I = 43, hkl 0 0 2
17.90 deg, I = 66, hkl 0 1 1
24.70 deg, I = 46, hkl 1 0 1
28.44 deg, I = 47, hkl 1 1 0
28.99 deg, I = 44, hkl 0 1 3
32.36 deg, I = 57, hkl 0 2 0
32.76 deg, I = 21, hkl 1 1 2
33.73 deg, I = 100, hkl 1 0 3
41.13 deg, I = 24, hkl 1 2 1
47.44 deg, I = 75, hkl 1 2 3

=====

Starting from DFT lattice parameters and positions (PBE), the powder XRD pattern of YMgScBe was simulated for Cu Kα X-rays.
Lines closer than 0.1° are merged.

```
data_YMgScBe
_chemical_formula_sum 'Y4 Mg4 Sc4 Be4'
_space_group_name_H-M_alt 'F -4 3 m'
_space_group_IT_number 216
_space_group_name_Hall 'F -4 2 3'
_cell_length_a 6.9994
_cell_length_b 6.9994
_cell_length_c 6.9994
_cell_angle_alpha 90.00
_cell_angle_beta 90.00
_cell_angle_gamma 90.00
loop_
_atom_site_label
_atom_site_type_symbol
_atom_site_fract_x
_atom_site_fract_y
_atom_site_fract_z
Y1 Y 0.0000 0.0000 0.0000
Mg1 Mg 0.2500 0.2500 0.7500
Sc1 Sc 0.0000 0.0000 0.5000
Be1 Be 0.2500 0.2500 0.2500
```

Top 10 peaks for 5° ≤ 2θ ≤ 70°, low angle first:
22.00 deg, I = 21, hkl 1 1 1
25.45 deg, I = 50, hkl 2 0 0
36.30 deg, I = 100, hkl 2 2 0
42.85 deg, I = 11, hkl 3 1 1
44.86 deg, I = 14, hkl 2 2 2
52.28 deg, I = 17, hkl 4 0 0
57.38 deg, I = 5, hkl 3 3 1
59.02 deg, I = 17, hkl 4 2 0
65.31 deg, I = 33, hkl 4 2 2
69.82 deg, I = 4, hkl 5 1 1

=====

Starting from DFT lattice parameters and positions (PBE), the powder XRD pattern of CaAcTl4 was simulated for Cu Kα X-rays.
Lines closer than 0.1° are merged.

```
data_CaAcTl4
_chemical_formula_sum 'Ca1 Ac1 Tl4'
_space_group_name_H-M_alt 'P 1'
_space_group_IT_number 1
_cell_length_a 3.9618
_cell_length_b 5.2216
_cell_length_c 9.1331
_cell_angle_alpha 90.12
_cell_angle_beta 90.14
_cell_angle_gamma 90.07
loop_
_space_group_symop_operation_xyz
'x,y,z'
loop_
_atom_site_label
_atom_site_type_symbol
_atom_site_fract_x
_atom_site_fract_y
_atom_site_fract_z
Ca1 Ca 0.0000 0.0000 0.0000
Ac1 Ac 0.0056 0.5000 0.5090
Tl1 Tl 0.3888 0.5006 0.8486
Tl2 Tl 0.3953 0.0000 0.3277
Tl3 Tl 0.5904 0.0000 0.6752
Tl4 Tl 0.6409 0.4995 0.1670
```

Top 10 peaks for 5° ≤ 2θ ≤ 70°, low angle first:
29.89 deg, I = 50, hkl 1 0 2
29.94 deg, I = 100, hkl 1 1 -1
34.09 deg, I = 77, hkl 0 1 3
34.35 deg, I = 38, hkl 0 2 0
45.82 deg, I = 18, hkl 1 0 -4
46.11 deg, I = 16, hkl 1 -2 2
46.22 deg, I = 15, hkl 1 2 2
50.20 deg, I = 16, hkl 2 0 -2
50.29 deg, I = 18, hkl 2 -1 1
58.44 deg, I = 24, hkl 1 -1 5

=====

Starting from DFT lattice parameters and positions (PBE), the powder XRD pattern of TbYTl was simulated for Cu Kα X-rays.
Lines closer than 0.1° are merged.

```
data_TbYTl
_chemical_formula_sum 'Tb2 Y2 Tl2'
_space_group_name_H-M_alt 'P 63/m m c'
_space_group_IT_number 194
_space_group_name_Hall '-P 6c 2c'
_cell_length_a 5.4329
_cell_length_b 5.4329
_cell_length_c 6.7347
_cell_angle_alpha 90.00
_cell_angle_beta 90.00
_cell_angle_gamma 120.00
loop_
_atom_site_label
_atom_site_type_symbol
_atom_site_fract_x
_atom_site_fract_y
_atom_site_fract_z
Tb1 Tb 0.0000 0.0000 0.0000
Y1 Y 0.3333 0.6667 0.2500
Tl1 Tl 0.3333 0.6667 0.7500
```

Top 10 peaks for 5° ≤ 2θ ≤ 70°, low angle first:
23.06 deg, I = 21, hkl 1 0 1
32.70 deg, I = 93, hkl 1 0 2
32.97 deg, I = 100, hkl 1 1 0
42.77 deg, I = 9, hkl 1 1 2
47.13 deg, I = 34, hkl 2 0 2
54.50 deg, I = 8, hkl 0 0 4
58.71 deg, I = 35, hkl 2 1 2
58.89 deg, I = 19, hkl 3 0 0
65.19 deg, I = 28, hkl 1 1 4
69.17 deg, I = 12, hkl 2 2 0

=====

What did the eleventh record say?
Starting from DFT lattice parameters and positions (PBE), the powder XRD pattern of CaAcTl4 was simulated for Cu Kα X-rays.
Lines closer than 0.1° are merged.

```
data_CaAcTl4
_chemical_formula_sum 'Ca1 Ac1 Tl4'
_space_group_name_H-M_alt 'P 1'
_space_group_IT_number 1
_cell_length_a 3.9618
_cell_length_b 5.2216
_cell_length_c 9.1331
_cell_angle_alpha 90.12
_cell_angle_beta 90.14
_cell_angle_gamma 90.07
loop_
_space_group_symop_operation_xyz
'x,y,z'
loop_
_atom_site_label
_atom_site_type_symbol
_atom_site_fract_x
_atom_site_fract_y
_atom_site_fract_z
Ca1 Ca 0.0000 0.0000 0.0000
Ac1 Ac 0.0056 0.5000 0.5090
Tl1 Tl 0.3888 0.5006 0.8486
Tl2 Tl 0.3953 0.0000 0.3277
Tl3 Tl 0.5904 0.0000 0.6752
Tl4 Tl 0.6409 0.4995 0.1670
```

Top 10 peaks for 5° ≤ 2θ ≤ 70°, low angle first:
29.89 deg, I = 50, hkl 1 0 2
29.94 deg, I = 100, hkl 1 1 -1
34.09 deg, I = 77, hkl 0 1 3
34.35 deg, I = 38, hkl 0 2 0
45.82 deg, I = 18, hkl 1 0 -4
46.11 deg, I = 16, hkl 1 -2 2
46.22 deg, I = 15, hkl 1 2 2
50.20 deg, I = 16, hkl 2 0 -2
50.29 deg, I = 18, hkl 2 -1 1
58.44 deg, I = 24, hkl 1 -1 5

=====

What did the seventh record say?
Starting from DFT lattice parameters and positions (PBE), the powder XRD pattern of LiCaLa was simulated for Cu Kα X-rays.
Lines closer than 0.1° are merged.

```
data_LiCaLa
_chemical_formula_sum 'Li4 Ca4 La4'
_space_group_name_H-M_alt 'C 1 m 1'
_space_group_IT_number 8
_cell_length_a 12.6950
_cell_length_b 3.6736
_cell_length_c 9.1712
_cell_angle_alpha 90.00
_cell_angle_beta 112.32
_cell_angle_gamma 90.00
loop_
_space_group_symop_operation_xyz
'x,y,z'
'x,-y,z'
'x+1/2,y+1/2,z'
'x+1/2,-y+1/2,z'
loop_
_atom_site_label
_atom_site_type_symbol
_atom_site_fract_x
_atom_site_fract_y
_atom_site_fract_z
Li1 Li 0.0000 0.0000 0.0000
Li2 Li 0.1100 0.5000 0.8594
Ca1 Ca 0.3194 0.0000 0.1286
Ca2 Ca 0.4674 0.5000 0.5297
La1 La 0.1530 0.5000 0.3505
La2 La 0.2780 0.0000 0.7029
```

Top 10 peaks for 5° ≤ 2θ ≤ 70°, low angle first:
10.43 deg, I = 83, hkl 0 0 1
14.73 deg, I = 83, hkl 2 0 -1
15.09 deg, I = 62, hkl 2 0 0
26.38 deg, I = 63, hkl 1 1 -1
28.14 deg, I = 51, hkl 4 0 -1
29.39 deg, I = 44, hkl 2 0 -3
29.71 deg, I = 38, hkl 4 0 -2
30.32 deg, I = 59, hkl 2 0 2
31.20 deg, I = 100, hkl 1 1 -2
33.45 deg, I = 83, hkl 3 1 0